Calculated PXRD pattern of BaTl3Au for Cu Kα (weighted mean of Kα1 and Kα2), from DFT lattice parameters and positions (PBE).
Neutral-atom scattering factors, no anomalous dispersion.

```
BaTl3Au
1.0
5.062 0.000 0.000
0.000 5.062 0.000
0.000 0.000 12.513
Ba Tl Au
2 6 2
Direct
0.000 0.000 0.000
0.500 0.500 0.500
0.000 0.000 0.611
0.000 0.500 0.263
0.000 0.500 0.763
0.500 0.000 0.263
0.500 0.000 0.763
0.500 0.500 0.111
0.000 0.000 0.387
0.500 0.500 0.887
```

Largest 10 diffraction maxima, in order of rising 2θ, 10 to 80 degrees two-theta:
two_theta  I_rel  index
18.91  22  1 0 1
27.71  35  1 0 3
28.73  100  1 1 2
35.46  71  2 0 0
38.21  54  1 1 4
40.20  29  1 0 5
51.03  25  2 2 0
54.67  24  2 1 5
59.61  26  3 1 2
65.50  23  3 1 4